The following is a calculated XRD peak list of BaV2Ni3H2O10. It was derived from a crystal structure in Alexandria, relaxed with PBE+U, using a wavelength of 1.5418 Å.

Structural model:
```
data_BaV2Ni3H2O10
_cell_length_a 7.8346
_cell_length_b 7.8346
_cell_length_c 7.8346
_cell_angle_alpha 44.68
_cell_angle_beta 44.68
_cell_angle_gamma 44.68
_symmetry_space_group_name_H-M 'P 1'
_symmetry_Int_Tables_number 1
_symmetry_space_group_name_Hall 'P 1'
loop_
_atom_site_label
_atom_site_fract_x
_atom_site_fract_y
_atom_site_fract_z
Ba1 0.0000 0.0000 0.0000
V1 0.4148 0.4148 0.4148
V2 0.5852 0.5852 0.5852
Ni1 0.0000 0.0000 0.5000
Ni2 0.0000 0.5000 0.0000
Ni3 0.5000 0.0000 0.0000
H1 0.2588 0.2588 0.2588
H2 0.7412 0.7412 0.7412
O1 0.2115 0.2115 0.2115
O2 0.2321 0.7236 0.7236
O3 0.2764 0.2764 0.7679
O4 0.2764 0.7679 0.2764
O5 0.3345 0.3345 0.3345
O6 0.6655 0.6655 0.6655
O7 0.7236 0.2321 0.7236
O8 0.7236 0.7236 0.2321
O9 0.7679 0.2764 0.2764
O10 0.7885 0.7885 0.7885
```

Peak list (8 most intense, 10 to 90 degrees two-theta, low angle first)
| 2theta | intensity |
| --- | --- |
| 27.29 | 100 |
| 30.01 | 42 |
| 32.65 | 81 |
| 34.44 | 46 |
| 35.84 | 33 |
| 38.86 | 62 |
| 49.43 | 42 |
| 62.37 | 35 |